[1]
Structure and theoretical powder diffraction line list of RbCr2S4 (the GGA-PBE geometry in the Materials Project; Cu Kα (λ = 1.5418 Å)).
Neutral-atom scattering factors, no anomalous dispersion.

Crystal structure
```
data_RbCr2S4
_cell_length_a 16.321
_cell_length_b 3.428
_cell_length_c 5.619
_cell_angle_alpha 90.00
_cell_angle_beta 103.50
_cell_angle_gamma 90.00
_symmetry_space_group_name_H-M 'P 1'
_symmetry_Int_Tables_number 1
loop_
_symmetry_equiv_pos_as_xyz
'x,y,z'
loop_
_atom_site_label
_atom_site_type_symbol
_atom_site_fract_x
_atom_site_fract_y
_atom_site_fract_z
Rb1 Rb 0.000 0.000 0.000
Rb2 Rb 0.500 0.500 0.000
Cr1 Cr 0.248 0.500 0.705
Cr2 Cr 0.252 0.000 0.295
Cr3 Cr 0.748 0.000 0.705
Cr4 Cr 0.752 0.500 0.295
S1 S 0.156 0.000 0.524
S2 S 0.176 0.500 0.036
S3 S 0.324 0.000 0.964
S4 S 0.344 0.500 0.476
S5 S 0.656 0.500 0.524
S6 S 0.676 0.000 0.036
S7 S 0.824 0.500 0.964
S8 S 0.844 0.000 0.476
```

Main lines, sorted by position (10° ≤ 2θ ≤ 80°):
d = 7.935 Å, 2θ 11.2, intensity 89
d = 5.089 Å, 2θ 17.4, intensity 36
d = 3.967 Å, 2θ 22.4, intensity 30
d = 2.422 Å, 2θ 37.1, intensity 100
d = 2.170 Å, 2θ 41.6, intensity 32
d = 1.713 Å, 2θ 53.5, intensity 30

---

[2]
Structure and theoretical powder diffraction line list of UIr (the GGA-PBE geometry in the Materials Project; Cu Kα (λ = 1.5418 Å)).
Neutral-atom scattering factors, no anomalous dispersion.

Crystal structure
```
data_UIr
_cell_length_a 5.641
_cell_length_b 10.560
_cell_length_c 5.594
_cell_angle_alpha 90.00
_cell_angle_beta 99.38
_cell_angle_gamma 90.00
_symmetry_space_group_name_H-M 'P 1'
_symmetry_Int_Tables_number 1
loop_
_symmetry_equiv_pos_as_xyz
'x,y,z'
loop_
_atom_site_label
_atom_site_type_symbol
_atom_site_fract_x
_atom_site_fract_y
_atom_site_fract_z
U1 U 0.106 0.133 0.412
U2 U 0.106 0.367 0.912
U3 U 0.363 0.639 0.652
U4 U 0.363 0.861 0.152
U5 U 0.637 0.139 0.848
U6 U 0.637 0.361 0.348
U7 U 0.894 0.633 0.088
U8 U 0.894 0.867 0.588
Ir1 Ir 0.143 0.104 0.912
Ir2 Ir 0.143 0.396 0.412
Ir3 Ir 0.409 0.600 0.161
Ir4 Ir 0.409 0.900 0.661
Ir5 Ir 0.591 0.100 0.339
Ir6 Ir 0.591 0.400 0.839
Ir7 Ir 0.857 0.604 0.588
Ir8 Ir 0.857 0.896 0.088
```

Main lines, sorted by position (10° ≤ 2θ ≤ 80°):
d = 2.691 Å, 2θ 33.3, intensity 100
d = 2.670 Å, 2θ 33.6, intensity 87
d = 2.640 Å, 2θ 34.0, intensity 89
d = 2.183 Å, 2θ 41.4, intensity 62
d = 2.172 Å, 2θ 41.6, intensity 54
d = 2.142 Å, 2θ 42.2, intensity 49

---

[3]
Structure and theoretical powder diffraction line list of CaAl2F10 (the GGA-PBE geometry in the Materials Project; Cu Kα (λ = 1.5418 Å)).
Neutral-atom scattering factors, no anomalous dispersion.

Crystal structure
```
data_CaAl2F10
_cell_length_a 5.552
_cell_length_b 5.552
_cell_length_c 7.264
_cell_angle_alpha 110.85
_cell_angle_beta 110.85
_cell_angle_gamma 71.72
_symmetry_space_group_name_H-M 'P 1'
_symmetry_Int_Tables_number 1
loop_
_symmetry_equiv_pos_as_xyz
'x,y,z'
loop_
_atom_site_label
_atom_site_type_symbol
_atom_site_fract_x
_atom_site_fract_y
_atom_site_fract_z
Ca1 Ca 0.000 0.000 0.000
Al1 Al 0.509 0.477 0.248
Al2 Al 0.523 0.491 0.752
F1 F 0.226 0.703 0.782
F2 F 0.290 0.263 0.122
F3 F 0.297 0.774 0.218
F4 F 0.396 0.181 0.627
F5 F 0.477 0.523 0.500
F6 F 0.596 0.404 0.000
F7 F 0.737 0.710 0.878
F8 F 0.787 0.184 0.704
F9 F 0.816 0.213 0.296
F10 F 0.819 0.604 0.373
```

Main lines, sorted by position (10° ≤ 2θ ≤ 80°):
d = 5.068 Å, 2θ 17.5, intensity 58
d = 4.674 Å, 2θ 19.0, intensity 37
d = 4.042 Å, 2θ 22.0, intensity 100
d = 3.254 Å, 2θ 27.4, intensity 38
d = 3.169 Å, 2θ 28.2, intensity 82
d = 2.021 Å, 2θ 44.8, intensity 41

---

[4]
Structure and theoretical powder diffraction line list of Rb2MnP2 (the GGA-PBE geometry in the Materials Project; Cu Kα (λ = 1.5418 Å)).
Neutral-atom scattering factors, no anomalous dispersion.

Crystal structure
```
data_Rb2MnP2
_cell_length_a 3.708
_cell_length_b 3.708
_cell_length_c 15.069
_cell_angle_alpha 90.00
_cell_angle_beta 90.00
_cell_angle_gamma 90.00
_symmetry_space_group_name_H-M 'P 1'
_symmetry_Int_Tables_number 1
loop_
_symmetry_equiv_pos_as_xyz
'x,y,z'
loop_
_atom_site_label
_atom_site_type_symbol
_atom_site_fract_x
_atom_site_fract_y
_atom_site_fract_z
Rb1 Rb 0.000 0.000 0.145
Rb2 Rb 0.000 0.000 0.855
Mn1 Mn 0.000 0.000 0.500
P1 P 0.000 0.000 0.354
P2 P 0.000 0.000 0.646
```

Main lines, sorted by position (10° ≤ 2θ ≤ 80°):
d = 5.023 Å, 2θ 17.7, intensity 28
d = 3.708 Å, 2θ 24.0, intensity 100
d = 2.983 Å, 2θ 30.0, intensity 32
d = 2.643 Å, 2θ 33.9, intensity 21
d = 2.622 Å, 2θ 34.2, intensity 39
d = 2.079 Å, 2θ 43.5, intensity 21

---

[5]
Structure and theoretical powder diffraction line list of Ag5Pb2O6 (the GGA-PBE geometry in the Materials Project; Cu Kα (λ = 1.5418 Å)).
Neutral-atom scattering factors, no anomalous dispersion.

Crystal structure
```
data_Ag5Pb2O6
_cell_length_a 6.066
_cell_length_b 6.066
_cell_length_c 6.529
_cell_angle_alpha 90.00
_cell_angle_beta 90.00
_cell_angle_gamma 120.00
_symmetry_space_group_name_H-M 'P 1'
_symmetry_Int_Tables_number 1
loop_
_symmetry_equiv_pos_as_xyz
'x,y,z'
loop_
_atom_site_label
_atom_site_type_symbol
_atom_site_fract_x
_atom_site_fract_y
_atom_site_fract_z
Ag1 Ag 0.000 0.000 0.000
Ag2 Ag 0.000 0.000 0.464
Ag3 Ag 0.000 0.501 0.248
Ag4 Ag 0.499 0.499 0.248
Ag5 Ag 0.501 0.000 0.248
Pb1 Pb 0.333 0.667 0.747
Pb2 Pb 0.667 0.333 0.747
O1 O 0.000 0.376 0.555
O2 O 0.000 0.622 0.939
O3 O 0.376 0.000 0.555
O4 O 0.378 0.378 0.939
O5 O 0.622 0.000 0.939
O6 O 0.624 0.624 0.555
```

Main lines, sorted by position (10° ≤ 2θ ≤ 80°):
d = 3.033 Å, 2θ 29.5, intensity 51
d = 2.773 Å, 2θ 32.3, intensity 100
d = 2.751 Å, 2θ 32.6, intensity 84
d = 2.437 Å, 2θ 36.9, intensity 78
d = 1.768 Å, 2θ 51.7, intensity 39
d = 1.696 Å, 2θ 54.1, intensity 47

---

[6]
Structure and theoretical powder diffraction line list of Sr2SmNbO6 (the GGA-PBE geometry in the Materials Project; Cu Kα (λ = 1.5418 Å)).
Neutral-atom scattering factors, no anomalous dispersion.

Crystal structure
```
data_Sr2SmNbO6
_cell_length_a 6.048
_cell_length_b 6.048
_cell_length_c 6.048
_cell_angle_alpha 60.00
_cell_angle_beta 60.00
_cell_angle_gamma 60.00
_symmetry_space_group_name_H-M 'P 1'
_symmetry_Int_Tables_number 1
loop_
_symmetry_equiv_pos_as_xyz
'x,y,z'
loop_
_atom_site_label
_atom_site_type_symbol
_atom_site_fract_x
_atom_site_fract_y
_atom_site_fract_z
Sr1 Sr 0.250 0.250 0.250
Sr2 Sr 0.750 0.750 0.750
Sm1 Sm 0.000 0.000 0.000
Nb1 Nb 0.500 0.500 0.500
O1 O 0.265 0.265 0.735
O2 O 0.265 0.735 0.265
O3 O 0.265 0.735 0.735
O4 O 0.735 0.265 0.265
O5 O 0.735 0.265 0.735
O6 O 0.735 0.735 0.265
```

Main lines, sorted by position (10° ≤ 2θ ≤ 80°):
d = 4.277 Å, 2θ 20.8, intensity 9
d = 3.024 Å, 2θ 29.5, intensity 100
d = 2.138 Å, 2θ 42.3, intensity 33
d = 1.746 Å, 2θ 52.4, intensity 40
d = 1.512 Å, 2θ 61.3, intensity 20
d = 1.352 Å, 2θ 69.5, intensity 18